1.
Theoretical powder X-ray diffraction pattern
Compound: TcSn6Ir
Radiation: Cu Kα (λ = 1.5418 Å)
Structure: a GGA-PBE-relaxed structure
Neutral-atom scattering factors, no anomalous dispersion.

Principal peaks in the range 5 to 70 degrees two-theta, by angle:
2theta	Rel. int.
19.34	31.3
32.81	34.8
34.30	54.8
35.14	100.0
49.63	38.1
50.22	36.7

Cell and atoms:
Cell: 5.8778 5.8778 6.6747 Å, 96.82 96.82 109.37°
Positions (direct):
Tc: 0.0000 0.0000 0.0000
Sn: 0.0719 0.4211 0.2546
Sn: 0.2443 0.2443 0.7444
Sn: 0.4211 0.0719 0.2546
Sn: 0.5789 0.9281 0.7454
Sn: 0.7557 0.7557 0.2556
Sn: 0.9281 0.5789 0.7454
Ir: 0.5000 0.5000 0.5000



2.
Theoretical powder X-ray diffraction pattern
Compound: Nd4YCd5
Radiation: Cu Kα (λ = 1.5418 Å)
Structure: a GGA-PBE-relaxed structure
Neutral-atom scattering factors, no anomalous dispersion.

Principal peaks in the range 5 to 70 degrees two-theta, by angle:
2theta	Rel. int.
32.98	100.0
33.09	50.3
47.50	18.0
58.84	17.8
59.04	36.4
69.19	10.7

Cell and atoms:
Cell: 3.8284 3.8284 19.2634 Å, 90.00 90.00 90.00°
Positions (direct):
Nd: 0.0000 0.0000 0.1015
Nd: 0.0000 0.0000 0.3038
Nd: 0.0000 0.0000 0.6962
Nd: 0.0000 0.0000 0.8985
Y: 0.0000 0.0000 0.5000
Cd: 0.5000 0.5000 0.0000
Cd: 0.5000 0.5000 0.2023
Cd: 0.5000 0.5000 0.4071
Cd: 0.5000 0.5000 0.5929
Cd: 0.5000 0.5000 0.7977



3.
Theoretical powder X-ray diffraction pattern
Compound: LiHoSnCl6
Radiation: Cu Kα (λ = 1.5418 Å)
Structure: a GGA-PBE-relaxed structure
Neutral-atom scattering factors, no anomalous dispersion.

Principal peaks in the range 5 to 70 degrees two-theta, by angle:
2theta	Rel. int.
16.82	69.2
20.88	100.0
30.24	34.1
39.43	70.9
43.68	30.3
46.89	32.6

Cell and atoms:
Cell: 6.7126 6.7126 12.4797 Å, 90.00 90.00 120.00°
Positions (direct):
Li: 0.3333 0.6667 0.2500
Li: 0.6667 0.3333 0.7500
Ho: 0.3333 0.6667 0.7500
Ho: 0.6667 0.3333 0.2500
Sn: 0.0000 0.0000 0.0000
Sn: 0.0000 0.0000 0.5000
Cl: 0.0035 0.3547 0.1322
Cl: 0.0035 0.6488 0.3678
Cl: 0.3512 0.3547 0.3678
Cl: 0.3512 0.9965 0.1322
Cl: 0.3547 0.0035 0.6322
Cl: 0.3547 0.3512 0.8678
Cl: 0.6453 0.6488 0.1322
Cl: 0.6453 0.9965 0.3678
Cl: 0.6488 0.0035 0.8678
Cl: 0.6488 0.6453 0.6322
Cl: 0.9965 0.3512 0.6322
Cl: 0.9965 0.6453 0.8678



4.
Theoretical powder X-ray diffraction pattern
Compound: TcPbW2
Radiation: Cu Kα (λ = 1.5418 Å)
Structure: a GGA-PBE-relaxed structure
Neutral-atom scattering factors, no anomalous dispersion.

Principal peaks in the range 5 to 70 degrees two-theta, by angle:
2theta	Rel. int.
38.04	26.8
39.02	100.0
40.39	22.7
69.31	9.4
69.46	9.3
69.75	9.2

Cell and atoms:
Cell: 4.4659 3.2815 4.7312 Å, 90.00 90.20 90.00°
Positions (direct):
Tc: 0.0000 0.0000 0.0000
Pb: 0.5000 0.5000 0.0000
W: 0.0000 0.5000 0.5000
W: 0.5000 0.0000 0.5000



5.
Theoretical powder X-ray diffraction pattern
Compound: Sc4InGaC
Radiation: Cu Kα (λ = 1.5418 Å)
Structure: a GGA-PBE-relaxed structure
Neutral-atom scattering factors, no anomalous dispersion.

Principal peaks in the range 5 to 70 degrees two-theta, by angle:
2theta	Rel. int.
20.60	20.2
27.87	46.1
30.66	34.0
37.94	100.0
39.83	61.2
57.59	19.2

Cell and atoms:
Cell: 7.7538 7.7538 6.4063 Å, 90.00 90.00 131.27°
Positions (direct):
Sc: 0.0000 0.5000 0.0000
Sc: 0.0000 0.5000 0.5000
Sc: 0.0848 0.9152 0.7500
Sc: 0.4069 0.5931 0.7500
Sc: 0.5000 0.0000 0.0000
Sc: 0.5000 0.0000 0.5000
Sc: 0.5931 0.4069 0.2500
Sc: 0.9152 0.0848 0.2500
In: 0.3868 0.6132 0.2500
In: 0.6132 0.3868 0.7500
Ga: 0.1219 0.8781 0.2500
Ga: 0.8781 0.1219 0.7500
C: 0.2474 0.7526 0.7500
C: 0.7526 0.2474 0.2500



6.
Theoretical powder X-ray diffraction pattern
Compound: Y5Si2Te2
Radiation: Cu Kα (λ = 1.5418 Å)
Structure: a GGA-PBE-relaxed structure
Neutral-atom scattering factors, no anomalous dispersion.

Principal peaks in the range 5 to 70 degrees two-theta, by angle:
2theta	Rel. int.
32.44	68.4
32.85	100.0
33.59	98.1
34.88	62.8
36.82	55.3
36.95	54.7

Cell and atoms:
Cell: 8.5557 8.5557 7.8242 Å, 90.00 90.00 54.16°
Positions (direct):
Y: 0.0000 0.0000 0.0000
Y: 0.0403 0.7109 0.6657
Y: 0.2109 0.5403 0.1657
Y: 0.2891 0.9597 0.6657
Y: 0.4597 0.7891 0.1657
Y: 0.5000 0.5000 0.5000
Y: 0.5403 0.2109 0.8343
Y: 0.7109 0.0403 0.3343
Y: 0.7891 0.4597 0.8343
Y: 0.9597 0.2891 0.3343
Si: 0.1336 0.8664 0.3682
Si: 0.3664 0.6336 0.8682
Si: 0.6336 0.3664 0.1318
Si: 0.8664 0.1336 0.6318
Te: 0.2054 0.2054 0.0000
Te: 0.2946 0.2946 0.5000
Te: 0.7054 0.7054 0.5000
Te: 0.7946 0.7946 0.0000